# 1
# HoSiNiGe2
Calculated powder X-ray diffraction pattern, λ = 1.5418 Å (Cu Kα). Input: DFT lattice parameters and positions (GGA-PBE).

The 10 most intense peaks (2θ from 15° to 90°), sorted by position:
Position (°2θ), I (rel.)
33.66, 38
33.83, 100
37.86, 11
43.92, 35
44.33, 23
45.57, 22
56.34, 10
56.79, 17
65.15, 22
65.46, 14

Cell and atoms:
Cell lengths 10.936, 10.936, 3.981 Å; angles 90.00, 90.00, 158.46 degrees
Atoms (fractional coordinates):
Ho 0.168 0.832 0.000
Ho 0.832 0.168 0.000
Si 0.444 0.556 0.000
Si 0.556 0.444 0.000
Ni 0.391 0.609 0.500
Ni 0.609 0.391 0.500
Ge 0.057 0.943 0.500
Ge 0.283 0.717 0.500
Ge 0.717 0.283 0.500
Ge 0.943 0.057 0.500

# 2
# Gd3ZnNiSn2Ir2
Calculated powder X-ray diffraction pattern, λ = 1.5418 Å (Cu Kα). Input: DFT lattice parameters and positions (GGA-PBE).

The 10 most intense peaks (2θ from 15° to 90°), sorted by position:
Position (°2θ), I (rel.)
33.47, 100
36.35, 79
36.95, 30
37.02, 17
42.11, 22
44.02, 23
47.06, 23
61.31, 22
65.00, 18
68.07, 15

Cell and atoms:
Cell lengths 3.862, 7.421, 7.421 Å; angles 119.84, 90.00, 90.00 degrees
Atoms (fractional coordinates):
Gd 0.000 0.000 0.000
Gd 0.000 0.170 0.571
Gd 0.000 0.571 0.170
Zn 0.500 0.325 0.325
Ni 0.000 0.574 0.574
Sn 0.500 0.577 0.823
Sn 0.500 0.823 0.577
Ir 0.500 0.243 0.908
Ir 0.500 0.908 0.243

# 3
# Er3Lu5Se
Calculated powder X-ray diffraction pattern, λ = 1.5418 Å (Cu Kα). Input: DFT lattice parameters and positions (GGA-PBE).

The 10 most intense peaks (2θ from 15° to 90°), sorted by position:
Position (°2θ), I (rel.)
30.68, 59
31.54, 100
33.66, 59
34.91, 58
39.44, 28
49.52, 16
57.84, 36
59.39, 19
60.51, 13
62.02, 22

Cell and atoms:
Cell lengths 8.902, 8.902, 3.681 Å; angles 90.00, 90.00, 120.00 degrees
Atoms (fractional coordinates):
Er 0.000 0.607 0.000
Er 0.393 0.393 0.000
Er 0.607 0.000 0.000
Lu 0.000 0.260 0.500
Lu 0.260 0.000 0.500
Lu 0.333 0.667 0.500
Lu 0.667 0.333 0.500
Lu 0.740 0.740 0.500
Se 0.000 0.000 0.000

# 4
# Na3Ir3O8
Calculated powder X-ray diffraction pattern, λ = 1.5418 Å (Cu Kα). Input: DFT lattice parameters and positions (GGA-PBE).

The 10 most intense peaks (2θ from 15° to 90°), sorted by position:
Position (°2θ), I (rel.)
17.59, 100
32.28, 52
35.62, 50
37.37, 25
38.34, 34
46.62, 13
50.96, 21
55.34, 13
62.14, 20
67.56, 19

Cell and atoms:
Cell lengths 9.392, 9.392, 7.745 Å; angles 90.00, 90.00, 90.00 degrees
Atoms (fractional coordinates):
Na 0.005 0.249 0.145
Na 0.113 0.113 0.500
Na 0.249 0.005 0.855
Na 0.251 0.505 0.395
Na 0.387 0.613 0.750
Na 0.495 0.749 0.105
Na 0.505 0.251 0.605
Na 0.613 0.387 0.250
Na 0.749 0.495 0.895
Na 0.751 0.995 0.355
Na 0.887 0.887 0.000
Na 0.995 0.751 0.645
Ir 0.115 0.365 0.744
Ir 0.133 0.867 0.250
Ir 0.135 0.615 0.994
Ir 0.365 0.115 0.256
Ir 0.367 0.367 0.000
Ir 0.385 0.865 0.506
Ir 0.615 0.135 0.006
Ir 0.633 0.633 0.500
Ir 0.635 0.885 0.756
Ir 0.865 0.385 0.494
Ir 0.867 0.133 0.750
Ir 0.885 0.635 0.244
O 0.074 0.367 0.494
O 0.076 0.159 0.777
O 0.105 0.649 0.252
O 0.133 0.574 0.744
O 0.141 0.827 0.000
O 0.149 0.395 0.002
O 0.159 0.076 0.223
O 0.173 0.859 0.500
O 0.327 0.359 0.750
O 0.341 0.576 0.027
O 0.351 0.895 0.248
O 0.359 0.327 0.250
O 0.367 0.074 0.506
O 0.395 0.149 0.998
O 0.424 0.659 0.473
O 0.426 0.867 0.756
O 0.574 0.133 0.256
O 0.576 0.341 0.973
O 0.605 0.851 0.498
O 0.633 0.926 0.006
O 0.641 0.673 0.750
O 0.649 0.105 0.748
O 0.659 0.424 0.527
O 0.673 0.641 0.250
O 0.827 0.141 0.000
O 0.841 0.924 0.723
O 0.851 0.605 0.502
O 0.859 0.173 0.500
O 0.867 0.426 0.244
O 0.895 0.351 0.752
O 0.924 0.841 0.277
O 0.926 0.633 0.994

# 5
# Sm3In3Ag2Ir
Calculated powder X-ray diffraction pattern, λ = 1.5418 Å (Cu Kα). Input: DFT lattice parameters and positions (GGA-PBE).

The 10 most intense peaks (2θ from 15° to 90°), sorted by position:
Position (°2θ), I (rel.)
31.69, 100
34.44, 98
35.25, 41
40.16, 51
41.75, 45
44.13, 29
53.92, 12
57.69, 19
61.18, 29
64.42, 37

Cell and atoms:
Cell lengths 7.778, 7.778, 4.105 Å; angles 90.00, 90.00, 120.00 degrees
Atoms (fractional coordinates):
Sm 0.000 0.394 0.000
Sm 0.394 0.000 0.000
Sm 0.606 0.606 0.000
In 0.000 0.750 0.500
In 0.250 0.250 0.500
In 0.750 0.000 0.500
Ag 0.333 0.667 0.500
Ag 0.667 0.333 0.500
Ir 0.000 0.000 0.000

# 6
# Dy7Pd2S2
Calculated powder X-ray diffraction pattern, λ = 1.5418 Å (Cu Kα). Input: DFT lattice parameters and positions (GGA-PBE).

The 10 most intense peaks (2θ from 15° to 90°), sorted by position:
Position (°2θ), I (rel.)
29.25, 25
29.58, 31
30.84, 63
31.14, 39
34.11, 37
34.70, 100
35.22, 43
40.82, 24
47.34, 27
55.11, 23

Cell and atoms:
Cell lengths 9.061, 9.061, 9.061 Å; angles 155.53, 67.08, 118.64 degrees
Atoms (fractional coordinates):
Dy 0.000 0.000 0.000
Dy 0.287 0.402 0.885
Dy 0.292 0.612 0.680
Dy 0.517 0.402 0.115
Dy 0.610 0.240 0.370
Dy 0.871 0.240 0.630
Dy 0.931 0.612 0.320
Pd 0.150 0.911 0.240
Pd 0.671 0.911 0.760
S 0.247 0.747 0.500
S 0.655 0.655 0.000

# 7
# LuFeSnHg
Calculated powder X-ray diffraction pattern, λ = 1.5418 Å (Cu Kα). Input: DFT lattice parameters and positions (GGA-PBE).

The 10 most intense peaks (2θ from 15° to 90°), sorted by position:
Position (°2θ), I (rel.)
22.18, 14
25.66, 3
36.61, 100
43.22, 8
52.73, 18
57.89, 3
65.90, 36
77.82, 11
82.12, 3
89.21, 17

Cell and atoms:
Cell lengths 4.910, 4.910, 4.910 Å; angles 60.00, 60.00, 60.00 degrees
Atoms (fractional coordinates):
Lu 0.000 0.000 0.000
Fe 0.500 0.500 0.500
Sn 0.250 0.250 0.250
Hg 0.750 0.750 0.750

# 8
# Gd2DyTmCd2
Calculated powder X-ray diffraction pattern, λ = 1.5418 Å (Cu Kα). Input: DFT lattice parameters and positions (GGA-PBE).

The 10 most intense peaks (2θ from 15° to 90°), sorted by position:
Position (°2θ), I (rel.)
31.54, 22
33.07, 29
33.60, 100
35.73, 11
46.35, 15
50.09, 9
57.48, 9
59.41, 19
61.34, 10
70.62, 8

Cell and atoms:
Cell lengths 5.417, 8.703, 8.703 Å; angles 24.15, 90.00, 90.00 degrees
Atoms (fractional coordinates):
Gd 0.000 0.000 0.000
Gd 0.500 0.177 0.177
Dy 0.000 0.315 0.315
Tm 0.500 0.863 0.863
Cd 0.000 0.658 0.658
Cd 0.500 0.518 0.518

# 9
# PrPb2S3
Calculated powder X-ray diffraction pattern, λ = 1.5418 Å (Cu Kα). Input: DFT lattice parameters and positions (GGA-PBE).

The 10 most intense peaks (2θ from 15° to 90°), sorted by position:
Position (°2θ), I (rel.)
22.94, 29
26.41, 62
29.63, 100
40.20, 40
44.50, 32
46.82, 24
50.64, 23
54.37, 18
66.60, 22
72.80, 15

Cell and atoms:
Cell lengths 4.072, 4.072, 11.630 Å; angles 90.00, 90.00, 120.00 degrees
Atoms (fractional coordinates):
Pr 0.000 0.000 0.000
Pb 0.333 0.667 0.659
Pb 0.667 0.333 0.341
S 0.000 0.000 0.500
S 0.333 0.667 0.138
S 0.667 0.333 0.862

# 10
# Li4CuSi2Ag
Calculated powder X-ray diffraction pattern, λ = 1.5418 Å (Cu Kα). Input: DFT lattice parameters and positions (GGA-PBE).

The 10 most intense peaks (2θ from 15° to 90°), sorted by position:
Position (°2θ), I (rel.)
25.99, 100
29.69, 9
30.29, 16
42.93, 53
43.37, 26
50.48, 15
51.26, 29
63.01, 8
68.70, 11
79.28, 16

Cell and atoms:
Cell lengths 4.172, 4.172, 6.018 Å; angles 90.00, 90.00, 90.00 degrees
Atoms (fractional coordinates):
Li 0.000 0.000 0.000
Li 0.000 0.500 0.735
Li 0.500 0.000 0.265
Li 0.500 0.500 0.500
Cu 0.000 0.000 0.500
Si 0.000 0.500 0.270
Si 0.500 0.000 0.730
Ag 0.500 0.500 0.000

# 11
# Tb3GaCoS7
Calculated powder X-ray diffraction pattern, λ = 1.5418 Å (Cu Kα). Input: DFT lattice parameters and positions (GGA-PBE).

The 10 most intense peaks (2θ from 15° to 90°), sorted by position:
Position (°2θ), I (rel.)
17.96, 23
25.94, 100
28.52, 19
35.66, 26
36.39, 31
37.64, 36
41.15, 22
42.00, 15
48.23, 16
49.60, 29

Cell and atoms:
Cell lengths 9.560, 9.560, 6.152 Å; angles 90.00, 90.00, 120.00 degrees
Atoms (fractional coordinates):
Tb 0.155 0.374 0.000
Tb 0.218 0.845 0.000
Tb 0.374 0.218 0.500
Tb 0.626 0.782 0.000
Tb 0.782 0.155 0.500
Tb 0.845 0.626 0.500
Ga 0.333 0.667 0.574
Ga 0.667 0.333 0.074
Co 0.000 0.000 0.159
Co 0.000 0.000 0.659
S 0.085 0.566 0.730
S 0.095 0.222 0.405
S 0.127 0.905 0.405
S 0.222 0.127 0.905
S 0.333 0.667 0.208
S 0.434 0.519 0.730
S 0.481 0.915 0.730
S 0.519 0.085 0.230
S 0.566 0.481 0.230
S 0.667 0.333 0.708
S 0.778 0.873 0.405
S 0.873 0.095 0.905
S 0.905 0.778 0.905
S 0.915 0.434 0.230

# 12
# Tb4Nb3Ge
Calculated powder X-ray diffraction pattern, λ = 1.5418 Å (Cu Kα). Input: DFT lattice parameters and positions (GGA-PBE).

The 10 most intense peaks (2θ from 15° to 90°), sorted by position:
Position (°2θ), I (rel.)
26.14, 14
30.27, 100
43.34, 75
51.32, 7
53.78, 26
62.96, 12
69.37, 3
71.45, 33
79.52, 25
85.44, 2

Cell and atoms:
Cell lengths 5.905, 5.905, 5.905 Å; angles 90.00, 90.00, 90.00 degrees
Atoms (fractional coordinates):
Tb 0.000 0.000 0.000
Tb 0.000 0.500 0.500
Tb 0.500 0.000 0.500
Tb 0.500 0.500 0.000
Nb 0.000 0.000 0.500
Nb 0.000 0.500 0.000
Nb 0.500 0.000 0.000
Ge 0.500 0.500 0.500

# 13
# Hg2Te2AuF2
Calculated powder X-ray diffraction pattern, λ = 1.5418 Å (Cu Kα). Input: DFT lattice parameters and positions (GGA-PBE).

The 10 most intense peaks (2θ from 15° to 90°), sorted by position:
Position (°2θ), I (rel.)
24.45, 22
29.17, 100
32.29, 20
33.59, 20
37.27, 52
43.57, 30
46.31, 38
49.67, 18
55.67, 33
65.46, 18

Cell and atoms:
Cell lengths 3.921, 3.921, 9.797 Å; angles 90.00, 90.00, 90.00 degrees
Atoms (fractional coordinates):
Hg 0.000 0.500 0.152
Hg 0.500 0.000 0.848
Te 0.000 0.500 0.696
Te 0.500 0.000 0.304
Au 0.000 0.000 0.500
F 0.000 0.000 0.000
F 0.500 0.500 0.000